Starting from a DFT-relaxed cell (PBE, the Materials Project), the powder diffractogram of Ba2LiEuCu4O8 was computed for CuKα.
Lines closer than 0.1° are merged.

The 10 most intense peaks (10 to 80 degrees two-theta), sorted by position:
2θ/deg, intensity
22.92, 22
29.52, 54
31.05, 40
32.01, 100
32.18, 51
34.34, 54
44.80, 29
45.33, 31
46.48, 26
66.93, 24

Cell and atoms:
Cell lengths 13.823, 13.823, 4.049 Å; angles 90.29, 90.29, 163.35 degrees
Element x y z (fractional)
Ba1 0.138 0.862 0.000
Ba2 0.862 0.138 0.000
Li1 0.323 0.323 0.681
Eu1 0.917 0.917 0.089
Cu1 0.279 0.707 0.509
Cu2 0.434 0.576 0.498
Cu3 0.576 0.434 0.498
Cu4 0.707 0.279 0.509
O1 0.058 0.947 0.526
O2 0.210 0.775 0.511
O3 0.346 0.640 0.507
O4 0.422 0.534 0.001
O5 0.534 0.422 0.001
O6 0.640 0.346 0.507
O7 0.775 0.210 0.511
O8 0.947 0.058 0.526

Starting from a DFT-relaxed cell (PBE, the Materials Project), the powder diffractogram of Ba4Eu2Cu6O13 was computed for CuKα.
Lines closer than 0.1° are merged.

The 10 most intense peaks (10 to 80 degrees two-theta), sorted by position:
2θ/deg, intensity
31.73, 93
32.04, 96
32.31, 100
39.49, 27
45.89, 28
46.80, 27
56.54, 27
57.06, 36
57.64, 33
67.62, 16

Cell and atoms:
Cell lengths 12.700, 12.678, 5.542 Å; angles 77.61, 77.16, 25.23 degrees
Element x y z (fractional)
Ba1 0.148 0.662 0.852
Ba2 0.338 0.852 0.662
Ba3 0.662 0.148 0.338
Ba4 0.852 0.338 0.148
Eu1 0.000 0.500 0.000
Eu2 0.500 0.000 0.500
Cu1 0.073 0.571 0.429
Cu2 0.239 0.761 0.239
Cu3 0.429 0.927 0.073
Cu4 0.571 0.073 0.927
Cu5 0.761 0.239 0.761
Cu6 0.927 0.429 0.571
O1 0.000 0.000 0.000
O2 0.185 0.185 0.815
O3 0.187 0.187 0.313
O4 0.196 0.654 0.346
O5 0.313 0.313 0.187
O6 0.313 0.313 0.687
O7 0.346 0.804 0.196
O8 0.654 0.196 0.804
O9 0.687 0.687 0.313
O10 0.687 0.687 0.813
O11 0.804 0.346 0.654
O12 0.813 0.813 0.687
O13 0.815 0.815 0.185